Entry 1:
Structure and theoretical X-ray powder pattern of LiMnPt (a structure optimized by DFT (PBE); Cu Kα).
Lines closer than 0.1° are merged.

Main lines, by intensity (2θ = 15–90°):
2theta, I_rel, h k l
23.75, 100, 2 0 -1
44.60, 93, 3 1 1
43.25, 84, 3 1 -1
32.71, 67, 1 1 0
28.86, 54, 4 0 0
40.21, 54, 0 0 2

Unit cell a=12.398 b=2.807 c=4.494 alpha=90.00 beta=93.65 gamma=90.00
Space group Cm (No. 8)
One atom of each set of equivalent atoms:
Li 0.000 0.000 0.000 x2
Li 0.167 0.500 0.062 x2
Mn 0.329 0.500 0.491 x2
Mn 0.457 0.000 0.486 x2
Pt 0.135 0.000 0.559 x2
Pt 0.333 0.000 0.984 x2

Entry 2:
Structure and theoretical X-ray powder pattern of RbSmFe2I8 (a structure optimized by DFT (PBE); Cu Kα).
Lines closer than 0.1° are merged.

Main lines, by intensity (2θ = 15–90°):
2theta, I_rel, h k l
26.74, 100, 0 2 2
42.60, 63, 0 4 0
25.52, 60, 2 2 0
41.21, 59, 4 2 2
23.04, 37, 2 0 2
24.19, 36, 3 1 0

Unit cell a=12.301 b=8.498 c=10.805 alpha=90.00 beta=95.51 gamma=90.00
Space group C2/m (No. 12)
One atom of each set of equivalent atoms:
Rb 0.000 0.000 0.000 x2
Sm 0.000 0.000 0.500 x2
Fe 0.121 0.500 0.284 x4
I 0.014 0.254 0.710 x8
I 0.200 0.500 0.074 x4
I 0.249 0.500 0.494 x4

Entry 3:
Structure and theoretical X-ray powder pattern of Tb2Pr6Nd3Dy (a structure optimized by DFT (PBE); Cu Kα).
Lines closer than 0.1° are merged.

Main lines, by intensity (2θ = 15–90°):
2theta, I_rel, h k l
29.79, 100, 1 3 1
34.61, 67, 2 0 2
30.03, 33, 0 0 4
59.07, 29, 3 3 3
49.59, 24, 0 6 0
49.91, 24, 1 3 5

Unit cell a=6.366 b=11.032 c=12.090 alpha=90.00 beta=100.12 gamma=90.00
Space group C2/m (No. 12)
One atom of each set of equivalent atoms:
Tb 0.000 0.167 0.000 x4
Pr 0.249 0.333 0.246 x8
Pr 0.250 0.000 0.246 x4
Nd 0.000 0.000 0.500 x2
Nd 0.000 0.333 0.500 x4
Dy 0.000 0.500 0.000 x2